Theoretical XRD peak list of Pm2FeRuO8 for Cu Kα, 1.54184 Å, from a crystal structure in Alexandria, relaxed with PBE+U.

Crystal structure
Cell lengths 4.526, 5.081, 6.944 Å; angles 91.90, 91.18, 95.10 degrees
Fractional coordinates of all 12 atoms:
Pm  0.113  0.023  0.251
Pm  0.887  0.977  0.749
Fe  0.500  0.500  0.000
Ru  0.500  0.500  0.500
O  0.178  0.266  0.545
O  0.219  0.214  0.966
O  0.313  0.609  0.259
O  0.357  0.767  0.678
O  0.643  0.233  0.322
O  0.687  0.391  0.741
O  0.781  0.786  0.034
O  0.822  0.734  0.455

Main lines, in order of rising 2θ (2θ from 10° to 90°):
d (Å)  intensity
3.821  33
3.526  100
3.224  50
2.909  63
2.815  47
2.781  29
2.718  34
2.529  27
1.933  34
1.897  29